No. 1
Ca6H2Ir: computed powder diffraction line list (Cu Kα, 1.54184 Å), based on DFT lattice parameters and positions (PBE).
No peak broadening, texture or thermal motion is included.

Cell and atoms:
a b c (Å): 6.6036 6.6036 19.4955
angles (deg): 90.00 90.00 120.00
Space group R-3 (No. 148, hexagonal axes)
Unique sites:
Ca: 0.0031 0.3410 0.4187 [18 per cell]
H: 0.0000 0.0000 0.1828 [6 per cell]
Ir: 0.0000 0.0000 0.0000 [3 per cell]

Most intense lines, 2θ = 10–90°, low angle first:
(0 0 3), d = 6.498 Å, 13.6°, rel. 38; (1 0 1), d = 5.488 Å, 16.2°, rel. 99; (0 1 2), d = 4.933 Å, 18.0°, rel. 67; (1 0 4), d = 3.709 Å, 24.0°, rel. 39; (0 1 5), d = 3.222 Å, 27.7°, rel. 26; (2 -1 3), d = 2.944 Å, 30.4°, rel. 100; (1 1 6), d = 2.316 Å, 38.9°, rel. 60; (3 0 0), d = 1.906 Å, 47.7°, rel. 31



No. 2
Pu2PPd6: computed powder diffraction line list (Cu Kα, 1.54184 Å), based on DFT lattice parameters and positions (PBE).
No peak broadening, texture or thermal motion is included.

Cell and atoms:
a b c (Å): 5.7261 5.7261 5.6963
angles (deg): 90.00 90.00 120.00
Space group P-3m1 (No. 164)
Unique sites:
Pu: 0.3333 0.6667 0.1721 [2 per cell]
P: 0.0000 0.0000 0.0000 [1 per cell]
Pd: 0.1714 0.3428 0.6984 [6 per cell]

Most intense lines, 2θ = 10–90°, low angle first:
(1 0 1), d = 3.740 Å, 23.8°, rel. 18; (0 0 2), d = 2.848 Å, 31.4°, rel. 22; (1 1 1), d = 2.558 Å, 35.1°, rel. 18; (2 0 0), d = 2.479 Å, 36.2°, rel. 23; (0 1 2), d = 2.470 Å, 36.4°, rel. 35; (2 0 1), d = 2.273 Å, 39.6°, rel. 100; (1 1 3), d = 1.582 Å, 58.3°, rel. 16; (2 2 0), d = 1.432 Å, 65.2°, rel. 19



No. 3
RbCeIrO6: computed powder diffraction line list (Cu Kα, 1.54184 Å), based on DFT lattice parameters and positions (PBE).
No peak broadening, texture or thermal motion is included.

Cell and atoms:
a b c (Å): 7.4238 7.8700 11.4120
angles (deg): 90.00 90.00 90.00
Space group Imma (No. 74)
Unique sites:
Rb: 0.0000 0.2500 0.1536 [4 per cell]
Ce: 0.0000 0.0000 0.5000 [4 per cell]
Ir: 0.2500 0.2500 0.7500 [4 per cell]
O: 0.0000 0.2500 0.4217 [4 per cell]
O: 0.0000 0.2500 0.8032 [4 per cell]
O: 0.2066 0.0783 0.6374 [16 per cell]

Most intense lines, 2θ = 10–90°, low angle first:
(0 1 1), d = 6.479 Å, 13.7°, rel. 80; (1 0 1), d = 6.223 Å, 14.2°, rel. 42; (1 0 3), d = 3.385 Å, 26.3°, rel. 38; (1 2 1), d = 3.326 Å, 26.8°, rel. 51; (0 2 2), d = 3.239 Å, 27.5°, rel. 86; (2 1 1), d = 3.221 Å, 27.7°, rel. 100; (2 0 2), d = 3.111 Å, 28.7°, rel. 56; (2 2 4), d = 1.961 Å, 46.3°, rel. 59



No. 4
CeGe5Os3: computed powder diffraction line list (Cu Kα, 1.54184 Å), based on DFT lattice parameters and positions (PBE).
No peak broadening, texture or thermal motion is included.

Cell and atoms:
a b c (Å): 11.7456 8.4734 8.8666
angles (deg): 90.00 119.99 90.00
Space group C2/m (No. 12)
Unique sites:
Ce: 0.1350 0.0000 0.3347 [4 per cell]
Ge: 0.0000 0.3162 0.0000 [4 per cell]
Ge: 0.0802 0.5000 0.3606 [4 per cell]
Ge: 0.1453 0.2187 0.6810 [8 per cell]
Ge: 0.2198 0.0000 0.0109 [4 per cell]
Os: 0.0000 0.0000 0.0000 [2 per cell]
Os: 0.0000 0.0000 0.5000 [2 per cell]
Os: 0.1337 0.5000 0.6743 [4 per cell]
Os: 0.2005 0.5000 0.2079 [4 per cell]

Most intense lines, 2θ = 10–90°, low angle first:
(0 2 0), d = 4.243 Å, 20.9°, rel. 100; (1 1 2), d = 2.924 Å, 30.6°, rel. 26; (2 2 1), d = 2.703 Å, 33.1°, rel. 16; (5 1 -2), d = 2.262 Å, 39.8°, rel. 21; (4 0 -4), d = 2.126 Å, 42.5°, rel. 14; (0 4 0), d = 2.118 Å, 42.7°, rel. 25; (1 3 2), d = 2.092 Å, 43.2°, rel. 22; (5 3 -2), d = 1.805 Å, 50.6°, rel. 18



No. 5
Na2SrTm: computed powder diffraction line list (Cu Kα, 1.54184 Å), based on DFT lattice parameters and positions (PBE).
No peak broadening, texture or thermal motion is included.

Cell and atoms:
a b c (Å): 3.6643 3.6643 41.0773
angles (deg): 90.00 90.00 120.00
Space group R-3m (No. 166, hexagonal axes)
Unique sites:
Na: 0.0000 0.0000 0.0840 [6 per cell]
Sr: 0.0000 0.0000 0.5000 [3 per cell]
Tm: 0.0000 0.0000 0.0000 [3 per cell]

Most intense lines, 2θ = 10–90°, low angle first:
(0 0 6), d = 6.846 Å, 12.9°, rel. 100; (0 0 12), d = 3.423 Å, 26.0°, rel. 44; (0 1 2), d = 3.136 Å, 28.5°, rel. 88; (1 0 4), d = 3.032 Å, 29.5°, rel. 55; (0 1 8), d = 2.699 Å, 33.2°, rel. 41; (1 0 10), d = 2.511 Å, 35.8°, rel. 49; (0 1 14), d = 2.154 Å, 41.9°, rel. 31; (1 1 12), d = 1.615 Å, 57.0°, rel. 29



No. 6
CdCuAu2: computed powder diffraction line list (Cu Kα, 1.54184 Å), based on DFT lattice parameters and positions (PBE).
No peak broadening, texture or thermal motion is included.

Cell and atoms:
a b c (Å): 9.5657 3.0935 4.8435
angles (deg): 90.00 103.55 90.00
Space group Cm (No. 8)
Unique sites:
Cd: 0.0000 0.0000 0.0000 [2 per cell]
Cu: 0.2544 0.0000 0.7346 [2 per cell]
Au: 0.0175 0.5000 0.5203 [2 per cell]
Au: 0.2580 0.5000 0.2450 [2 per cell]

Most intense lines, 2θ = 10–90°, low angle first:
(1 1 1), d = 2.412 Å, 37.3°, rel. 100; (2 0 -2), d = 2.332 Å, 38.6°, rel. 46; (4 0 0), d = 2.325 Å, 38.7°, rel. 44; (3 1 -1), d = 2.124 Å, 42.6°, rel. 70; (2 0 2), d = 1.926 Å, 47.2°, rel. 25; (1 1 -3), d = 1.429 Å, 65.3°, rel. 19; (5 1 1), d = 1.425 Å, 65.5°, rel. 18; (2 2 -2), d = 1.288 Å, 73.5°, rel. 27



No. 7
RbNaGePt: computed powder diffraction line list (Cu Kα, 1.54184 Å), based on DFT lattice parameters and positions (PBE).
No peak broadening, texture or thermal motion is included.

Cell and atoms:
a b c (Å): 4.2974 4.2974 25.1481
angles (deg): 90.00 90.00 120.00
Space group R3m (No. 160, hexagonal axes)
Unique sites:
Rb: 0.0000 0.0000 0.0000 [3 per cell]
Na: 0.0000 0.0000 0.1771 [3 per cell]
Ge: 0.0000 0.0000 0.7699 [3 per cell]
Pt: 0.0000 0.0000 0.4370 [3 per cell]

Most intense lines, 2θ = 10–90°, low angle first:
(0 0 3), d = 8.383 Å, 10.6°, rel. 100; (0 1 2), d = 3.569 Å, 25.0°, rel. 25; (1 0 4), d = 3.203 Å, 27.9°, rel. 29; (0 1 5), d = 2.992 Å, 29.9°, rel. 27; (1 0 7), d = 2.585 Å, 34.7°, rel. 19; (1 1 0), d = 2.149 Å, 42.1°, rel. 26; (1 1 3), d = 2.082 Å, 43.5°, rel. 21; (1 1 9), d = 1.703 Å, 53.8°, rel. 19



No. 8
GaPRh: computed powder diffraction line list (Cu Kα, 1.54184 Å), based on DFT lattice parameters and positions (PBE).
No peak broadening, texture or thermal motion is included.

Cell and atoms:
a b c (Å): 8.2903 3.6196 6.8529
angles (deg): 90.00 110.38 90.00
Space group Cm (No. 8)
Unique sites:
Ga: 0.0000 0.0000 0.0000 [2 per cell]
Ga: 0.0814 0.5000 0.4138 [2 per cell]
P: 0.3184 0.5000 0.2974 [2 per cell]
P: 0.3452 0.0000 0.7313 [2 per cell]
Rh: 0.0390 0.0000 0.6433 [2 per cell]
Rh: 0.3095 0.0000 0.0707 [2 per cell]

Most intense lines, 2θ = 10–90°, low angle first:
(1 1 -1), d = 3.113 Å, 28.7°, rel. 100; (2 0 1), d = 2.907 Å, 30.8°, rel. 54; (1 1 -2), d = 2.485 Å, 36.1°, rel. 37; (0 0 3), d = 2.142 Å, 42.2°, rel. 65; (3 1 0), d = 2.107 Å, 42.9°, rel. 45; (3 1 -2), d = 2.047 Å, 44.2°, rel. 78; (1 1 -3), d = 1.928 Å, 47.1°, rel. 57; (0 2 0), d = 1.810 Å, 50.4°, rel. 40



No. 9
Ce3Si4Pd2: computed powder diffraction line list (Cu Kα, 1.54184 Å), based on DFT lattice parameters and positions (PBE).
No peak broadening, texture or thermal motion is included.

Cell and atoms:
a b c (Å): 10.8897 4.2007 8.2737
angles (deg): 90.00 102.79 90.00
Space group C2/m (No. 12)
Unique sites:
Ce: 0.0000 0.0000 0.0000 [2 per cell]
Ce: 0.1651 0.5000 0.6693 [4 per cell]
Si: 0.0547 0.0000 0.3914 [4 per cell]
Si: 0.2228 0.5000 0.0546 [4 per cell]
Pd: 0.1113 0.5000 0.2781 [4 per cell]

Most intense lines, 2θ = 10–90°, low angle first:
(2 0 -2), d = 3.630 Å, 24.5°, rel. 38; (3 1 0), d = 2.707 Å, 33.1°, rel. 100; (1 1 2), d = 2.699 Å, 33.2°, rel. 64; (0 0 3), d = 2.689 Å, 33.3°, rel. 31; (0 2 0), d = 2.100 Å, 43.1°, rel. 25; (3 1 -3), d = 2.093 Å, 43.2°, rel. 51; (4 0 2), d = 2.022 Å, 44.8°, rel. 22; (4 2 2), d = 1.457 Å, 63.9°, rel. 31



No. 10
Gd3Y5O12: computed powder diffraction line list (Cu Kα, 1.54184 Å), based on DFT lattice parameters and positions (PBE).
No peak broadening, texture or thermal motion is included.

Cell and atoms:
a b c (Å): 9.3145 9.3207 9.3208
angles (deg): 109.49 109.45 109.42
Space group P1 (No. 1)
Unique sites:
Gd: 0.0000 0.0000 0.0000 [1 per cell]
Gd: 0.0318 0.2180 0.7498 [1 per cell]
Gd: 0.2499 0.4689 0.2830 [1 per cell]
Gd: 0.5303 0.7826 0.8138 [1 per cell]
Gd: 0.7481 0.9672 0.2823 [1 per cell]
Gd: 0.8129 0.5309 0.7820 [1 per cell]
Y: 0.0313 0.7173 0.2508 [1 per cell]
Y: 0.0641 0.5010 0.5652 [1 per cell]
Y: 0.2814 0.2492 0.5321 [1 per cell]
Y: 0.2812 0.7512 0.0327 [1 per cell]
Y: 0.3148 0.0335 0.7819 [1 per cell]
Y: 0.4972 0.9998 0.4989 [1 per cell]
Y: 0.5318 0.2825 0.3146 [1 per cell]
Y: 0.5642 0.4994 0.0654 [1 per cell]
Y: 0.7805 0.2510 0.0334 [1 per cell]
Y: 0.7823 0.7489 0.5311 [1 per cell]
O: 0.0085 0.4904 0.3039 [1 per cell]
O: 0.0122 0.2207 0.4902 [1 per cell]
O: 0.0187 0.2619 0.0015 [1 per cell]
O: 0.0451 0.4824 0.8045 [1 per cell]
O: 0.0523 0.9770 0.7693 [1 per cell]
O: 0.0533 0.7913 0.0454 [1 per cell]
O: 0.2380 0.9790 0.5004 [1 per cell]
O: 0.2527 0.2084 0.2634 [1 per cell]
O: 0.2686 0.7822 0.7926 [1 per cell]
O: 0.2923 0.7210 0.2717 [1 per cell]
O: 0.3156 0.2921 0.8026 [1 per cell]
O: 0.3216 0.5183 0.5639 [1 per cell]
O: 0.5072 0.7056 0.0213 [1 per cell]
O: 0.5133 0.5217 0.2932 [1 per cell]
O: 0.5180 0.0204 0.2600 [1 per cell]
O: 0.5412 0.2384 0.0636 [1 per cell]
O: 0.5497 0.2789 0.5724 [1 per cell]
O: 0.5528 0.0142 0.7619 [1 per cell]
O: 0.7391 0.7384 0.7577 [1 per cell]
O: 0.7475 0.9867 0.5428 [1 per cell]
O: 0.7702 0.4781 0.9925 [1 per cell]
O: 0.7914 0.0230 0.0736 [1 per cell]
O: 0.8121 0.5089 0.5191 [1 per cell]
O: 0.8236 0.7591 0.3038 [1 per cell]

Most intense lines, 2θ = 10–90°, low angle first:
(2 0 -1), d = 4.393 Å, 20.2°, rel. 15; (1 1 1), d = 3.107 Å, 28.7°, rel. 100; (2 -2 2), d = 2.691 Å, 33.3°, rel. 30; (1 3 -2), d = 2.537 Å, 35.4°, rel. 8; (3 1 -4), d = 2.111 Å, 42.8°, rel. 11; (0 0 4), d = 1.903 Å, 47.8°, rel. 41; (3 -1 3), d = 1.623 Å, 56.7°, rel. 30; (2 4 -1), d = 1.587 Å, 58.1°, rel. 8



No. 11
LiTlPb2Br6: computed powder diffraction line list (Cu Kα, 1.54184 Å), based on DFT lattice parameters and positions (PBE).
No peak broadening, texture or thermal motion is included.

Cell and atoms:
a b c (Å): 7.6670 7.6670 20.8912
angles (deg): 90.00 90.00 120.00
Space group R3 (No. 146, hexagonal axes)
Unique sites:
Li: 0.0000 0.0000 0.0000 [3 per cell]
Tl: 0.0000 0.0000 0.5189 [3 per cell]
Pb: 0.0000 0.0000 0.3224 [3 per cell]
Pb: 0.0000 0.0000 0.8096 [3 per cell]
Br: 0.0076 0.3521 0.7399 [9 per cell]
Br: 0.0339 0.6328 0.5824 [9 per cell]

Most intense lines, 2θ = 10–90°, low angle first:
(0 1 2), d = 5.604 Å, 15.8°, rel. 61; (1 0 4), d = 4.105 Å, 21.6°, rel. 70; (1 1 0), d = 3.834 Å, 23.2°, rel. 39; (1 1 3), d = 3.358 Å, 26.5°, rel. 77; (0 2 4), d = 2.802 Å, 31.9°, rel. 43; (2 -1 6), d = 2.577 Å, 34.8°, rel. 100; (3 -1 4), d = 2.262 Å, 39.9°, rel. 43; (3 0 0), d = 2.213 Å, 40.8°, rel. 65



No. 12
AlCuSn: computed powder diffraction line list (Cu Kα, 1.54184 Å), based on DFT lattice parameters and positions (PBE).
No peak broadening, texture or thermal motion is included.

Cell and atoms:
a b c (Å): 5.4551 4.0643 10.5309
angles (deg): 90.00 90.00 90.00
Space group Pnma (No. 62)
Unique sites:
Al: 0.1210 0.2500 0.0582 [4 per cell]
Cu: 0.0507 0.2500 0.8205 [4 per cell]
Sn: 0.0979 0.2500 0.3456 [4 per cell]

Most intense lines, 2θ = 10–90°, low angle first:
(0 0 2), d = 5.265 Å, 16.8°, rel. 31; (1 0 2), d = 3.790 Å, 23.5°, rel. 46; (1 1 2), d = 2.771 Å, 32.3°, rel. 100; (1 0 4), d = 2.371 Å, 37.9°, rel. 14; (2 1 0), d = 2.265 Å, 39.8°, rel. 56; (1 1 4), d = 2.048 Å, 44.2°, rel. 56; (0 2 0), d = 2.032 Å, 44.6°, rel. 29; (3 0 2), d = 1.718 Å, 53.3°, rel. 26



No. 13
BeAl3Ni6: computed powder diffraction line list (Cu Kα, 1.54184 Å), based on DFT lattice parameters and positions (PBE).
No peak broadening, texture or thermal motion is included.

Cell and atoms:
a b c (Å): 6.7325 4.0687 8.7580
angles (deg): 90.00 110.68 90.00
Space group P2_1/m (No. 11)
Unique sites:
Be: 0.0421 0.2500 0.4155 [2 per cell]
Al: 0.2190 0.2500 0.0097 [2 per cell]
Al: 0.3627 0.7500 0.7834 [2 per cell]
Al: 0.4618 0.2500 0.6144 [2 per cell]
Ni: 0.0589 0.7500 0.8596 [2 per cell]
Ni: 0.1420 0.2500 0.6929 [2 per cell]
Ni: 0.1534 0.7500 0.1791 [2 per cell]
Ni: 0.2386 0.7500 0.4898 [2 per cell]
Ni: 0.3249 0.2500 0.3205 [2 per cell]
Ni: 0.4573 0.7500 0.0789 [2 per cell]

Most intense lines, 2θ = 10–90°, low angle first:
(1 1 -2), d = 2.913 Å, 30.7°, rel. 22; (2 0 1), d = 2.644 Å, 33.9°, rel. 9; (2 0 -4), d = 2.087 Å, 43.4°, rel. 23; (0 2 0), d = 2.034 Å, 44.5°, rel. 32; (3 1 -1), d = 1.958 Å, 46.4°, rel. 100; (2 1 -4), d = 1.857 Å, 49.1°, rel. 10; (2 2 -4), d = 1.457 Å, 63.9°, rel. 13; (3 3 -1), d = 1.159 Å, 83.4°, rel. 16